LaBiSe2O: theoretical XRD peak list (Cu Kα (weighted mean of Kα1 and Kα2)), based on a DFT-relaxed cell (PBE, the Materials Project).
Lines closer than 0.1° are merged.

Cell and atoms:
```
data_LaBiSe2O
_chemical_formula_sum 'La2 Bi2 Se4 O2'
_cell_length_a 4.1540
_cell_length_b 4.1540
_cell_length_c 14.8437
_cell_angle_alpha 90.00
_cell_angle_beta 90.00
_cell_angle_gamma 90.00
_space_group_name_H-M_alt 'P 1'
_space_group_IT_number 1
_space_group_name_Hall 'P 1'
loop_
_atom_site_label
_atom_site_type_symbol
_atom_site_fract_x
_atom_site_fract_y
_atom_site_fract_z
La1 La 0.2500 0.2500 0.0817
La2 La 0.7500 0.7500 0.9183
Bi1 Bi 0.2500 0.2500 0.6327
Bi2 Bi 0.7500 0.7500 0.3673
Se1 Se 0.2500 0.2500 0.3933
Se2 Se 0.2500 0.2500 0.8116
Se3 Se 0.7500 0.7500 0.1884
Se4 Se 0.7500 0.7500 0.6067
O1 O 0.2500 0.7500 0.0000
O2 O 0.7500 0.2500 0.0000
```

Main lines, sorted by position (10 to 90 degrees two-theta):
- 2θ 23.98, d = 3.711 Å, rel. 39
- 2θ 24.56, d = 3.625 Å, rel. 50
- 2θ 30.43, d = 2.937 Å, rel. 100
- 2θ 37.23, d = 2.415 Å, rel. 34
- 2θ 39.11, d = 2.303 Å, rel. 54
- 2θ 43.58, d = 2.077 Å, rel. 43